# CsKAsAu
Theoretical PXRD pattern, λ = 1.5418 Å (Cu Kα). Input: a DFT-relaxed cell (GGA-PBE, Alexandria).
Intensities are scaled so that the largest is 100.

```
data_CsKAsAu
_cell_length_a 4.735
_cell_length_b 6.020
_cell_length_c 10.859
_cell_angle_alpha 90.00
_cell_angle_beta 90.00
_cell_angle_gamma 90.00
_space_group_name_H-M_alt 'I m m 2'
_space_group_IT_number 44
_space_group_name_Hall 'I 2 -2'
loop_
_atom_site_label
_atom_site_type_symbol
_atom_site_fract_x
_atom_site_fract_y
_atom_site_fract_z
_atom_site_occupancy
Cs1 Cs 0.000 0.000 0.000 1
K1 K 0.000 0.000 0.340 1
As1 As 0.000 0.000 0.647 1
Au1 Au 0.000 0.500 0.214 1
```

Peak list (6 most intense, 2θ from 10° to 90°, most intense first)
| d_spacing | 2θ (°) | intensity | hkl |
| --- | --- | --- | --- |
| 5.265 | 16.84 | 100 | 0 1 1 |
| 3.102 | 28.78 | 90 | 0 1 3 |
| 3.070 | 29.09 | 86 | 1 1 2 |
| 3.010 | 29.68 | 54 | 0 2 0 |
| 4.340 | 20.46 | 51 | 1 0 1 |
| 1.882 | 48.36 | 42 | 2 1 3 |